Structure and computed X-ray diffraction stick pattern of Ti4Mo (a structure optimized by DFT (PBE); Cu Kα, 1.54184 Å).
No peak broadening, texture or thermal motion is included.

abc: 4.6978 4.4006 8.3736
angles: 90.00 105.57 90.00
Fractional coordinates of all 10 atoms:
Ti: 0.0095 0.2500 0.1010
Ti: 0.1956 0.7500 0.2918
Ti: 0.2311 0.2500 0.5033
Ti: 0.4050 0.2500 0.8901
Ti: 0.5950 0.7500 0.1099
Ti: 0.7689 0.7500 0.4967
Ti: 0.8044 0.2500 0.7082
Ti: 0.9905 0.7500 0.8990
Mo: 0.3639 0.7500 0.6944
Mo: 0.6361 0.2500 0.3056

The 8 most intense peaks (2θ = 5–70°), most intense first:
d (Å)  2θ (°)  I (rel.)  index
2.286  39.42  100  1 1 2
2.266  39.77  96  1 1 -3
2.349  38.32  47  2 0 -1
2.200  41.02  46  0 2 0
1.606  57.38  27  2 2 -1
1.613  57.09  16  0 0 5
1.348  69.79  12  3 1 1
2.072  43.69  10  2 1 -1